TbNdAgPd: theoretical powder XRD pattern (Cu Kα, 1.54184 Å), based on a DFT-relaxed cell (GGA-PBE, Alexandria).
No peak broadening, texture or thermal motion is included.

Atomic structure:
Cell: 4.7763 3.8346 10.8912 Å, 90.00 90.00 90.00°
Positions (direct):
Tb: 0.0000 0.0000 0.0000
Tb: 0.0000 0.5000 0.5000
Nd: 0.5000 0.0000 0.2787
Nd: 0.5000 0.5000 0.7787
Ag: 0.0000 0.0000 0.7172
Ag: 0.0000 0.5000 0.2172
Pd: 0.5000 0.0000 0.5535
Pd: 0.5000 0.5000 0.0535

The 10 most intense peaks (10 to 90 degrees two-theta), sorted by position:
- d = 2.883 Å, intensity 100
- d = 2.723 Å, intensity 27
- d = 2.636 Å, intensity 24
- d = 2.388 Å, intensity 35
- d = 2.365 Å, intensity 22
- d = 2.308 Å, intensity 63
- d = 1.917 Å, intensity 18
- d = 1.795 Å, intensity 16
- d = 1.495 Å, intensity 16
- d = 1.310 Å, intensity 16